Calculated powder XRD pattern
Compound: KMg9Al3
Radiation: copper Kα
Structure: DFT lattice parameters and positions (PBE)

Structural model:
```
data_KMg9Al3
_chemical_formula_sum 'K1 Mg9 Al3'
_cell_length_a 7.8277
_cell_length_b 7.8277
_cell_length_c 7.7243
_cell_angle_alpha 97.78
_cell_angle_beta 97.78
_cell_angle_gamma 136.38
_space_group_name_H-M_alt 'P 1'
_space_group_IT_number 1
loop_
_space_group_symop_operation_xyz
'x,y,z'
loop_
_atom_site_label
_atom_site_type_symbol
_atom_site_fract_x
_atom_site_fract_y
_atom_site_fract_z
_atom_site_occupancy
K1 K 0.0000 0.0000 0.0000 1
Mg1 Mg 0.0000 0.0000 0.5000 1
Mg2 Mg 0.0051 0.6491 0.6504 1
Mg3 Mg 0.2855 0.5087 0.7808 1
Mg4 Mg 0.3509 0.9949 0.3496 1
Mg5 Mg 0.4913 0.7145 0.2192 1
Mg6 Mg 0.5087 0.2855 0.7808 1
Mg7 Mg 0.6491 0.0051 0.6504 1
Mg8 Mg 0.7145 0.4913 0.2192 1
Mg9 Mg 0.9949 0.3509 0.3496 1
Al1 Al 0.0000 0.5000 0.0000 1
Al2 Al 0.5000 0.0000 0.0000 1
Al3 Al 0.5000 0.5000 0.5000 1
```

Main lines, sorted by position (10 to 80 degrees two-theta):
2theta  Rel. int.
30.3  20
30.5  18
35.1  100
35.2  20
35.4  33
35.5  20
35.7  32
39.3  16
39.6  25
39.7  28

=====

Calculated powder XRD pattern
Compound: K2MgAl
Radiation: copper Kα
Structure: DFT lattice parameters and positions (PBE)

Structural model:
```
data_K2MgAl
_chemical_formula_sum 'K2 Mg1 Al1'
_cell_length_a 3.9417
_cell_length_b 3.9417
_cell_length_c 10.3142
_cell_angle_alpha 90.00
_cell_angle_beta 90.00
_cell_angle_gamma 90.00
_space_group_name_H-M_alt 'P 1'
_space_group_IT_number 1
loop_
_space_group_symop_operation_xyz
'x,y,z'
loop_
_atom_site_label
_atom_site_type_symbol
_atom_site_fract_x
_atom_site_fract_y
_atom_site_fract_z
_atom_site_occupancy
K1 K 0.0000 0.0000 0.0000 1
K2 K 0.5000 0.5000 0.3885 1
Mg1 Mg 0.0000 0.0000 0.6562 1
Al1 Al 0.5000 0.5000 0.7475 1
```

Main lines, sorted by position (10 to 80 degrees two-theta):
2theta  Rel. int.
24.2  91
25.9  54
28.5  100
32.1  98
34.6  56
41.7  54
46.1  33
53.6  24
55.1  27
58.6  25

=====

Calculated powder XRD pattern
Compound: KMg4Al9Si9O36
Radiation: copper Kα
Structure: DFT lattice parameters and positions (PBE)

Structural model:
```
data_KMg4Al9Si9O36
_chemical_formula_sum 'K1 Mg4 Al9 Si9 O36'
_cell_length_a 9.5236
_cell_length_b 9.8413
_cell_length_c 9.8709
_cell_angle_alpha 60.37
_cell_angle_beta 89.96
_cell_angle_gamma 89.96
_space_group_name_H-M_alt 'P 1'
_space_group_IT_number 1
loop_
_space_group_symop_operation_xyz
'x,y,z'
loop_
_atom_site_label
_atom_site_type_symbol
_atom_site_fract_x
_atom_site_fract_y
_atom_site_fract_z
_atom_site_occupancy
K1 K 0.0000 0.0000 0.0000 1
Mg1 Mg 0.3705 0.6705 0.6568 1
Mg2 Mg 0.3706 0.3387 0.3111 1
Mg3 Mg 0.8699 0.6708 0.6570 1
Mg4 Mg 0.8706 0.3395 0.3106 1
Al1 Al 0.1205 0.6344 0.0946 1
Al2 Al 0.1207 0.1202 0.2523 1
Al3 Al 0.3703 0.5062 0.4849 1
Al4 Al 0.3712 0.0047 0.4871 1
Al5 Al 0.3714 0.5009 0.9903 1
Al6 Al 0.6201 0.2607 0.0963 1
Al7 Al 0.8691 0.5010 0.9902 1
Al8 Al 0.8696 0.0052 0.4853 1
Al9 Al 0.8700 0.5062 0.4850 1
Si1 Si 0.1188 0.7387 0.3676 1
Si2 Si 0.1197 0.2764 0.6066 1
Si3 Si 0.1196 0.3831 0.8746 1
Si4 Si 0.1195 0.9021 0.7183 1
Si5 Si 0.6202 0.1059 0.6214 1
Si6 Si 0.6200 0.3771 0.7192 1
Si7 Si 0.6201 0.6262 0.2560 1
Si8 Si 0.6199 0.7367 0.8849 1
Si9 Si 0.6204 0.8881 0.3683 1
O1 O 0.1123 0.7083 0.2222 1
O2 O 0.1133 0.9238 0.3001 1
O3 O 0.1153 0.2330 0.0473 1
O4 O 0.1145 0.7987 0.9048 1
O5 O 0.1164 0.3136 0.7520 1
O6 O 0.1166 0.0871 0.6790 1
O7 O 0.2613 0.6568 0.4754 1
O8 O 0.2621 0.3519 0.5028 1
O9 O 0.2616 0.4909 0.8458 1
O10 O 0.2615 0.8695 0.6424 1
O11 O 0.2702 0.1460 0.3387 1
O12 O 0.2698 0.5223 0.1246 1
O13 O 0.4730 0.3481 0.1256 1
O14 O 0.4791 0.4876 0.6384 1
O15 O 0.4794 0.5186 0.3336 1
O16 O 0.4792 0.6599 0.8519 1
O17 O 0.4799 0.1337 0.5159 1
O18 O 0.4795 0.8598 0.4787 1
O19 O 0.6213 0.2350 0.6781 1
O20 O 0.6209 0.7007 0.0668 1
O21 O 0.6209 0.7615 0.3058 1
O22 O 0.6210 0.9269 0.7715 1
O23 O 0.6232 0.0602 0.2232 1
O24 O 0.6225 0.3050 0.9023 1
O25 O 0.7600 0.4884 0.6374 1
O26 O 0.7605 0.1331 0.5159 1
O27 O 0.7612 0.6604 0.8521 1
O28 O 0.7611 0.8592 0.4789 1
O29 O 0.7616 0.5198 0.3327 1
O30 O 0.7666 0.3491 0.1255 1
O31 O 0.9709 0.1476 0.3383 1
O32 O 0.9722 0.5203 0.1244 1
O33 O 0.9780 0.3524 0.5014 1
O34 O 0.9784 0.4927 0.8447 1
O35 O 0.9792 0.8696 0.6400 1
O36 O 0.9796 0.6536 0.4806 1
```

Main lines, sorted by position (10 to 80 degrees two-theta):
2theta  Rel. int.
10.3  100
18.6  17
21.4  59
26.0  52
28.0  44
28.1  26
29.1  56
29.3  49
33.4  16
53.5  15

=====

Calculated powder XRD pattern
Compound: KMg3AlSi3O12
Radiation: copper Kα
Structure: DFT lattice parameters and positions (PBE)

Structural model:
```
data_KMg3AlSi3O12
_chemical_formula_sum 'K1 Mg3 Al1 Si3 O12'
_cell_length_a 5.3659
_cell_length_b 5.3781
_cell_length_c 10.4877
_cell_angle_alpha 84.40
_cell_angle_beta 80.74
_cell_angle_gamma 60.72
_space_group_name_H-M_alt 'P 1'
_space_group_IT_number 1
loop_
_space_group_symop_operation_xyz
'x,y,z'
loop_
_atom_site_label
_atom_site_type_symbol
_atom_site_fract_x
_atom_site_fract_y
_atom_site_fract_z
_atom_site_occupancy
K1 K 0.0000 0.0000 0.0000 1
Mg1 Mg 0.1990 0.6566 0.4584 1
Mg2 Mg 0.5325 0.9977 0.4634 1
Mg3 Mg 0.8407 0.3539 0.4632 1
Al1 Al 0.2670 0.3249 0.1975 1
Si1 Si 0.4318 0.3310 0.7356 1
Si2 Si 0.6049 0.6662 0.1944 1
Si3 Si 0.7659 0.6636 0.7358 1
O1 O 0.0823 0.4977 0.7929 1
O2 O 0.1445 0.0102 0.5473 1
O3 O 0.2227 0.3277 0.3697 1
O4 O 0.3968 0.5644 0.1441 1
O5 O 0.4775 0.3427 0.5792 1
O6 O 0.5168 0.9879 0.1365 1
O7 O 0.5636 0.6677 0.3548 1
O8 O 0.5802 0.9947 0.7913 1
O9 O 0.5848 0.4911 0.7954 1
O10 O 0.8103 0.6682 0.5794 1
O11 O 0.8948 0.0043 0.3778 1
O12 O 0.9386 0.4497 0.1376 1
```

Main lines, sorted by position (10 to 80 degrees two-theta):
2theta  Rel. int.
23.9  26
24.0  32
25.3  39
25.9  100
27.4  31
27.9  32
33.7  29
33.8  33
33.9  34
36.4  42